Theoretical powder X-ray diffraction pattern of Al2CdSe4 for CuKα, from a crystal structure in Alexandria, relaxed with GGA-PBE.
Intensities are scaled so that the largest is 1000.

Atomic structure:
Cell lengths 6.8419, 6.8419, 6.8419 Å; angles 129.25, 129.25, 74.61 degrees
Sites, in units of the cell vectors:
Al  0.0000  0.0000  0.0000
Al  0.7500  0.2500  0.5000
Cd  0.2500  0.7500  0.5000
Se  0.1191  0.1580  0.5027
Se  0.3836  0.8809  0.0390
Se  0.6554  0.6164  0.4973
Se  0.8420  0.3446  0.9610

Most intense lines, 15° ≤ 2θ ≤ 90°, low angle first:
| 2theta | d_spacing | I/Imax |
| --- | --- | --- |
| 27.03 | 3.298 | 1000 |
| 34.75 | 2.581 | 108 |
| 35.20 | 2.550 | 134 |
| 43.66 | 2.073 | 235 |
| 45.48 | 1.995 | 406 |
| 52.11 | 1.755 | 287 |
| 55.27 | 1.662 | 113 |
| 81.48 | 1.181 | 124 |

Theoretical powder X-ray diffraction pattern of Al2CdSe for CuKα, from a crystal structure in Alexandria, relaxed with GGA-PBE.
Intensities are scaled so that the largest is 1000.

Atomic structure:
Cell lengths 3.3439, 3.3439, 7.2323 Å; angles 90.00, 90.00, 90.00 degrees
Sites, in units of the cell vectors:
Al  0.0000  0.0000  0.2186
Al  0.0000  0.0000  0.7814
Cd  0.5000  0.5000  0.5000
Se  0.5000  0.5000  0.0000

Most intense lines, 15° ≤ 2θ ≤ 90°, low angle first:
| 2theta | d_spacing | I/Imax |
| --- | --- | --- |
| 24.62 | 3.616 | 245 |
| 26.66 | 3.344 | 379 |
| 36.60 | 2.455 | 1000 |
| 38.06 | 2.364 | 463 |
| 45.85 | 1.979 | 182 |
| 54.92 | 1.672 | 155 |
| 64.93 | 1.436 | 161 |
| 67.82 | 1.382 | 312 |